Ac3Sn5Pd6: computed powder X-ray diffraction pattern (a wavelength of 1.5418 Å), based on a cell relaxed with GGA-PBE.
Kinematic intensities with the Lorentz-polarization factor, no thermal factor.

```
data_Ac3Sn5Pd6
_cell_length_a 4.614
_cell_length_b 14.094
_cell_length_c 10.175
_cell_angle_alpha 90.00
_cell_angle_beta 90.00
_cell_angle_gamma 90.00
_symmetry_space_group_name_H-M 'P m m n'
_symmetry_Int_Tables_number 59
loop_
_symmetry_equiv_pos_as_xyz
'x,y,z'
'-x,-y,-z'
'-x+1/2,-y+1/2,z'
'x+1/2,y+1/2,-z'
'x+1/2,-y,-z'
'-x+1/2,y,z'
'-x,y+1/2,-z'
'x,-y+1/2,z'
loop_
_atom_site_label
_atom_site_type_symbol
_atom_site_fract_x
_atom_site_fract_y
_atom_site_fract_z
_atom_site_occupancy
Ac1 Ac 0.250 0.064 0.242 1
Ac2 Ac 0.250 0.750 0.272 1
Sn1 Sn 0.250 0.078 0.601 1
Sn2 Sn 0.250 0.627 0.985 1
Sn3 Sn 0.250 0.750 0.714 1
Pd1 Pd 0.250 0.072 0.874 1
Pd2 Pd 0.250 0.250 0.000 1
Pd3 Pd 0.250 0.250 0.460 1
Pd4 Pd 0.250 0.613 0.523 1
```

Largest 6 diffraction maxima, low angle first, 2θ = 15–90°:
d_spacing, 2θ/deg, Rel. int., h k l
3.292, 27.09, 222, 1 3 0
2.764, 32.39, 1000, 1 3 2
2.750, 32.56, 239, 0 3 3
2.733, 32.77, 339, 1 0 3
2.546, 35.25, 236, 0 0 4
2.307, 39.04, 383, 2 0 0